Computed XRD peak list of AlCu2Ni for Cu Kα X-rays, from DFT lattice parameters and positions (GGA-PBE).
Intensities are scaled so that the largest is 100.

Structure:
Lattice parameters (Å, degrees): 4.7850 4.2230 4.9667 90.00 90.00 90.00
Space group Pmma (No. 51)
Inequivalent atoms, fractional coordinates:
1 Al 0.2500 0.0000 0.1970 (multiplicity 2)
2 Cu 0.0000 0.5000 0.5000 (multiplicity 2)
3 Cu 0.2500 0.5000 0.9438 (multiplicity 2)
4 Ni 0.2500 0.0000 0.6767 (multiplicity 2)

Peak list (10 most intense, 10° ≤ 2θ ≤ 80°, low angle first)
h k l  d/Å  I (rel.)
0 1 0  4.223  19
1 0 1  3.446  36
2 0 0  2.393  18
2 0 1  2.155  40
0 1 2  2.141  99
0 2 0  2.111  76
2 1 0  2.082  23
1 1 2  1.954  57
2 1 1  1.920  100
2 2 1  1.508  24